Structure and theoretical X-ray diffraction stick pattern of Ce3GeCl2 (a DFT-relaxed cell (PBE, Alexandria); CuKα).

Crystal structure
a b c (Å): 11.5581 6.8885 7.7169
angles (deg): 90.00 90.00 90.00
Space group Cmcm (No. 63)
Symmetry-distinct sites (fractional):
Ce: 0.0000 0.0000 0.0000 (multiplicity 4)
Ce: 0.1688 0.5000 0.0000 (multiplicity 8)
Ge: 0.0000 0.3296 0.2500 (multiplicity 4)
Cl: 0.1614 0.1759 0.7500 (multiplicity 8)

Principal peaks in the range 2θ = 15–90°, by angle:
- 2θ 23.1, I 23
- 2θ 25.9, I 27
- 2θ 26.5, I 55
- 2θ 29.0, I 13
- 2θ 34.9, I 55
- 2θ 35.4, I 100
- 2θ 46.0, I 32
- 2θ 47.1, I 29
- 2θ 54.6, I 15
- 2θ 54.9, I 15
- 2θ 60.0, I 22
- 2θ 68.0, I 19